Record 1
Structure and simulated XRD peak list of CsCrMo2O8 (DFT lattice parameters and positions (GGA+U); Cu Kα (weighted mean of Kα1 and Kα2)).
Intensities are scaled so that the largest is 100.

Largest 10 diffraction maxima, in order of rising 2θ, 2θ = 15–90°:
2θ 17.73, I = 13
2θ 20.76, I = 100
2θ 28.03, I = 75
2θ 30.96, I = 58
2θ 32.55, I = 11
2θ 37.58, I = 12
2θ 42.25, I = 24
2θ 49.45, I = 20
2θ 53.30, I = 25
2θ 54.68, I = 13

Structural model:
```
data_CsCrMo2O8
_chemical_formula_sum 'Cs1 Cr1 Mo2 O8'
_cell_length_a 5.7764
_cell_length_b 5.7764
_cell_length_c 8.2518
_cell_angle_alpha 90.00
_cell_angle_beta 90.00
_cell_angle_gamma 120.00
_space_group_name_H-M_alt 'P -3 m 1'
_space_group_IT_number 164
_space_group_name_Hall '-P 3 2"'
loop_
_atom_site_label
_atom_site_fract_x
_atom_site_fract_y
_atom_site_fract_z
Cs1 0.0000 0.0000 0.0000
Cr1 0.0000 0.0000 0.5000
Mo1 0.3333 0.6667 0.7086
O1 0.1610 0.3220 0.6429
O2 0.3333 0.6667 0.9212
```

Record 2
Structure and simulated XRD peak list of CsCr3O8 (DFT lattice parameters and positions (GGA+U); Cu Kα (weighted mean of Kα1 and Kα2)).
Intensities are scaled so that the largest is 100.

Largest 10 diffraction maxima, in order of rising 2θ, 2θ = 15–90°:
2θ 21.18, I = 10
2θ 23.08, I = 32
2θ 24.73, I = 100
2θ 26.52, I = 17
2θ 28.16, I = 20
2θ 28.45, I = 13
2θ 32.12, I = 22
2θ 32.71, I = 10
2θ 35.41, I = 12
2θ 52.98, I = 11

Structural model:
```
data_CsCr3O8
_chemical_formula_sum 'Cs4 Cr12 O32'
_cell_length_a 16.8668
_cell_length_b 5.5732
_cell_length_c 8.6632
_cell_angle_alpha 90.00
_cell_angle_beta 90.00
_cell_angle_gamma 90.00
_space_group_name_H-M_alt 'P n m a'
_space_group_IT_number 62
loop_
_space_group_symop_operation_xyz
'x,y,z'
'-x,-y,-z'
'-x+1/2,-y,z+1/2'
'x+1/2,y,-z+1/2'
'x+1/2,-y+1/2,-z+1/2'
'-x+1/2,y+1/2,z+1/2'
'-x,y+1/2,-z'
'x,-y+1/2,z'
loop_
_atom_site_label
_atom_site_fract_x
_atom_site_fract_y
_atom_site_fract_z
Cs1 0.2303 0.2500 0.0143
Cr1 0.0399 0.7500 0.7426
Cr2 0.0819 0.7500 0.1279
Cr3 0.1058 0.2500 0.5490
O1 0.0195 0.2500 0.4566
O2 0.0312 0.5025 0.1731
O3 0.1034 0.7500 0.9369
O4 0.1139 0.0007 0.6603
O5 0.1667 0.7500 0.2173
O6 0.1795 0.2500 0.4288
```

Record 3
Structure and simulated XRD peak list of CsCrP2O7 (DFT lattice parameters and positions (GGA+U); Cu Kα (weighted mean of Kα1 and Kα2)).
Intensities are scaled so that the largest is 100.

Largest 10 diffraction maxima, in order of rising 2θ, 2θ = 15–90°:
2θ 23.63, I = 61
2θ 25.28, I = 33
2θ 28.14, I = 27
2θ 28.25, I = 22
2θ 28.83, I = 100
2θ 29.16, I = 99
2θ 29.38, I = 50
2θ 36.89, I = 17
2θ 40.20, I = 17
2θ 58.02, I = 18

Structural model:
```
data_CsCrP2O7
_chemical_formula_sum 'Cs4 Cr4 P8 O28'
_cell_length_a 7.7941
_cell_length_b 10.0586
_cell_length_c 8.4631
_cell_angle_alpha 90.00
_cell_angle_beta 105.07
_cell_angle_gamma 90.00
_space_group_name_H-M_alt 'P 1 21/c 1'
_space_group_IT_number 14
loop_
_space_group_symop_operation_xyz
'x,y,z'
'-x,-y,-z'
'-x,y+1/2,-z+1/2'
'x,-y+1/2,z+1/2'
loop_
_atom_site_label
_atom_site_fract_x
_atom_site_fract_y
_atom_site_fract_z
Cs1 0.1991 0.2058 0.0391
Cr1 0.2415 0.6018 0.2584
P1 0.1280 0.5956 0.8325
P2 0.4221 0.6257 0.6824
O1 0.0186 0.0050 0.7675
O2 0.0920 0.7382 0.7654
O3 0.1554 0.5844 0.0153
O4 0.3120 0.5461 0.7937
O5 0.3201 0.6013 0.5059
O6 0.3908 0.0666 0.7677
O7 0.4340 0.7272 0.2357
```